For PmCd3Hg3, a DFT-relaxed cell (GGA-PBE, Alexandria) gives the theoretical PXRD pattern in this record (copper Kα).
Peak positions follow from Bragg's law for the DFT cell and can differ from measured ones.

Crystal structure
```
data_PmCd3Hg3
_chemical_formula_sum 'Pm1 Cd3 Hg3'
_space_group_name_H-M_alt 'P 1'
_space_group_IT_number 1
_cell_length_a 6.0117
_cell_length_b 6.0117
_cell_length_c 6.0117
_cell_angle_alpha 90.00
_cell_angle_beta 90.00
_cell_angle_gamma 90.00
loop_
_space_group_symop_operation_xyz
'x,y,z'
loop_
_atom_site_label
_atom_site_fract_x
_atom_site_fract_y
_atom_site_fract_z
Pm1 0.0000 0.0000 0.0000
Cd1 0.0000 0.5000 0.5000
Cd2 0.5000 0.0000 0.5000
Cd3 0.5000 0.5000 0.0000
Hg1 0.0000 0.0000 0.5000
Hg2 0.0000 0.5000 0.0000
Hg3 0.5000 0.0000 0.0000
```

Top 10 peaks for 10° ≤ 2θ ≤ 90°, in order of rising 2θ:
| hkl | 2θ (°) | intensity |
| --- | --- | --- |
| 1 0 0 | 14.74 | 23 |
| 1 1 0 | 20.90 | 11 |
| 2 0 0 | 29.72 | 100 |
| 2 1 0 | 33.33 | 13 |
| 2 2 0 | 42.53 | 76 |
| 3 0 0 | 45.25 | 7 |
| 2 2 2 | 52.75 | 27 |
| 4 0 0 | 61.72 | 13 |
| 4 2 0 | 69.99 | 35 |
| 4 2 2 | 77.84 | 26 |